Diffraction record for Rb2Cd3SnAs4. The XRD peak list is theoretical, not measured: it uses a DFT-relaxed cell (GGA-PBE, the Materials Project) and Cu Kα (λ = 1.5418 Å).

Crystal structure
a b c (Å): 18.9730 4.5198 7.8601
angles (deg): 90.00 114.29 90.00
Space group Cm (No. 8)
One atom of each set of equivalent atoms:
Rb 0.0000 0.0000 0.0000 x2
Rb 0.0018 0.5000 0.5053 x2
Cd 0.1766 0.5000 0.0265 x2
Cd 0.1811 0.0000 0.5027 x2
Cd 0.2991 0.5000 0.4796 x2
Sn 0.3061 0.0000 0.9634 x2
As 0.1335 0.5000 0.3057 x2
As 0.1507 0.0000 0.8153 x2
As 0.3552 0.5000 0.1894 x2
As 0.3589 0.0000 0.6938 x2

Peak list (10 most intense, 10 to 90 degrees two-theta, low angle first)
index, 2θ/deg, I/Imax
2 0 0, 10.2, 62
0 0 2, 24.9, 86
3 1 -1, 25.0, 50
3 1 1, 30.8, 100
6 0 0, 31.0, 41
5 1 1, 38.7, 42
8 0 -2, 38.8, 32
3 1 -3, 39.8, 82
0 2 0, 39.9, 42
6 2 0, 51.4, 38

Diffraction record for PrC2ClO7. The XRD peak list is theoretical, not measured: it uses a DFT-relaxed cell (GGA-PBE, the Materials Project) and Cu Kα (λ = 1.5418 Å).

Crystal structure
a b c (Å): 6.0756 14.1117 9.5841
angles (deg): 90.00 110.84 90.00
Space group P2_1/c (No. 14)
One atom of each set of equivalent atoms:
Pr 0.1727 0.1135 0.1561 x4
C 0.2946 0.5842 0.9433 x4
C 0.3965 0.5324 0.4536 x4
Cl 0.3216 0.1981 0.6569 x4
O 0.0367 0.1551 0.3520 x4
O 0.0922 0.7415 0.4109 x4
O 0.1078 0.2111 0.9341 x4
O 0.1734 0.5559 0.8253 x4
O 0.2039 0.5227 0.4792 x4
O 0.4243 0.6049 0.0627 x4
O 0.4295 0.5882 0.3618 x4

Peak list (10 most intense, 10 to 90 degrees two-theta, low angle first)
index, 2θ/deg, I/Imax
0 1 1, 11.7, 54
0 2 1, 16.0, 100
1 1 -1, 16.5, 72
1 1 0, 16.8, 60
0 1 2, 20.8, 60
1 2 1, 24.8, 39
0 3 2, 27.5, 26
1 5 -1, 35.3, 23
2 1 1, 37.0, 37
0 5 3, 44.2, 33

Diffraction record for GaSbO4. The XRD peak list is theoretical, not measured: it uses a DFT-relaxed cell (GGA-PBE, the Materials Project) and Cu Kα (λ = 1.5418 Å).

Crystal structure
a b c (Å): 6.4577 6.7292 3.1009
angles (deg): 90.00 90.00 90.00
Space group Cmmm (No. 65)
One atom of each set of equivalent atoms:
Ga 0.0000 0.0000 0.0000 x2
Sb 0.0000 0.5000 0.5000 x2
O 0.0000 0.3059 0.0000 x4
O 0.1926 0.0000 0.5000 x4

Peak list (10 most intense, 10 to 90 degrees two-theta, low angle first)
index, 2θ/deg, I/Imax
1 1 0, 19.0, 17
0 2 0, 26.5, 72
2 0 0, 27.6, 65
1 1 1, 34.8, 100
2 2 0, 38.6, 27
0 2 1, 39.5, 13
1 3 1, 52.3, 46
3 1 1, 53.6, 43
0 4 0, 54.5, 12
3 3 1, 67.4, 27

Diffraction record for Ce2Ti2SiO9. The XRD peak list is theoretical, not measured: it uses a DFT-relaxed cell (GGA-PBE, the Materials Project) and Cu Kα (λ = 1.5418 Å).

Crystal structure
a b c (Å): 16.9312 5.7607 7.6680
angles (deg): 90.00 111.51 90.00
Space group C2/m (No. 12)
One atom of each set of equivalent atoms:
Ce 0.1030 0.0000 0.1965 x4
Ce 0.2126 0.0000 0.8167 x4
Ti 0.0000 0.2406 0.5000 x4
Ti 0.0821 0.5000 0.9508 x4
Si 0.1652 0.5000 0.4849 x4
O 0.0000 0.2716 0.0000 x4
O 0.0207 0.0000 0.6844 x4
O 0.0278 0.5000 0.6901 x4
O 0.1209 0.2554 0.5207 x8
O 0.1569 0.5000 0.2664 x4
O 0.1638 0.2568 0.9847 x8
O 0.2392 0.0000 0.3627 x4

Peak list (10 most intense, 10 to 90 degrees two-theta, low angle first)
index, 2θ/deg, I/Imax
3 1 -1, 22.9, 24
1 1 -2, 28.2, 21
3 1 -2, 29.0, 100
0 2 0, 31.1, 20
6 0 -1, 31.7, 28
0 2 2, 40.2, 19
6 2 -1, 45.0, 20
6 0 2, 50.1, 12
3 3 -2, 54.0, 16
9 1 0, 54.8, 13

Diffraction record for MgTiS2. The XRD peak list is theoretical, not measured: it uses a DFT-relaxed cell (GGA-PBE, the Materials Project) and Cu Kα (λ = 1.5418 Å).

Crystal structure
a b c (Å): 3.4888 3.4888 6.2467
angles (deg): 90.00 90.00 120.00
Space group P-3m1 (No. 164)
One atom of each set of equivalent atoms:
Mg 0.0000 0.0000 0.0000 x1
Ti 0.0000 0.0000 0.5000 x1
S 0.3333 0.6667 0.7451 x2

Peak list (10 most intense, 10 to 90 degrees two-theta, low angle first)
index, 2θ/deg, I/Imax
0 0 1, 14.2, 15
1 0 0, 29.6, 19
0 1 1, 32.9, 66
0 1 2, 41.6, 100
1 1 0, 52.5, 41
1 0 3, 53.4, 15
0 0 4, 59.2, 9
2 0 1, 63.3, 8
2 0 2, 69.1, 20
1 1 4, 83.0, 20

Diffraction record for Cs2TaCuF6. The XRD peak list is theoretical, not measured: it uses a DFT-relaxed cell (GGA-PBE, the Materials Project) and Cu Kα (λ = 1.5418 Å).

Crystal structure
a b c (Å): 10.3344 10.3344 10.3344
angles (deg): 90.00 90.00 90.00
Space group Fm-3m (No. 225)
One atom of each set of equivalent atoms:
Cs 0.2500 0.2500 0.2500 x8
Ta 0.0000 0.0000 0.0000 x4
Cu 0.0000 0.0000 0.5000 x4
F 0.0000 0.0000 0.1867 x24

Peak list (10 most intense, 10 to 90 degrees two-theta, low angle first)
index, 2θ/deg, I/Imax
1 1 1, 14.8, 22
2 2 0, 24.4, 100
4 0 0, 34.7, 28
4 2 2, 42.9, 38
4 4 0, 49.9, 17
6 2 0, 56.3, 24
6 4 2, 67.9, 24
6 6 0, 78.5, 11
8 4 0, 83.7, 7
6 6 4, 88.8, 7